# 1
Diffraction record for DyCd2. The powder X-ray diffraction pattern is simulated, not measured: it uses a crystal structure in the Materials Project, relaxed with PBE and Cu Kα X-rays.
Neutral-atom scattering factors, no anomalous dispersion.

Main lines, low angle first (2θ from 10° to 90°):
d = 2.696 Å, I 100
d = 2.489 Å, I 80
d = 1.829 Å, I 32
d = 1.727 Å, I 9
d = 1.474 Å, I 31
d = 1.437 Å, I 14
d = 1.419 Å, I 27
d = 1.245 Å, I 9
d = 1.130 Å, I 13
d = 1.105 Å, I 12

Crystal structure
```
3
Lattice="4.979 0.000 0.000 -2.489 4.312 0.000 0.000 0.000 3.455" Properties=species:S:1:pos:R:3 pbc="T T T"
Dy 0.000 0.000 0.000
Cd 0.000 2.874 1.727
Cd 2.489 1.437 1.727
```

---

# 2
Diffraction record for Ti5Pb5O14. The powder X-ray diffraction pattern is simulated, not measured: it uses a crystal structure in the Materials Project, relaxed with PBE and Cu Kα X-rays.
Neutral-atom scattering factors, no anomalous dispersion.

Main lines, low angle first (2θ from 10° to 90°):
d = 4.542 Å, I 51
d = 3.973 Å, I 31
d = 3.820 Å, I 29
d = 2.990 Å, I 100
d = 2.923 Å, I 91
d = 2.753 Å, I 76
d = 2.356 Å, I 47
d = 2.271 Å, I 22
d = 1.986 Å, I 24
d = 1.642 Å, I 24

Crystal structure
```
24
Lattice="6.026 0.000 0.000 0.807 7.098 0.000 2.616 1.578 8.056" Properties=species:S:1:pos:R:3 pbc="T T T"
Ti 0.000 0.000 0.000
Ti 3.225 6.814 4.730
Ti 3.294 4.656 1.580
Ti 5.756 4.373 6.305
Ti 5.886 2.180 3.150
Pb 2.623 3.155 5.021
Pb 2.812 1.073 1.634
Pb 6.249 7.760 6.454
Pb 6.123 5.608 3.176
Pb 8.653 4.957 7.942
O 1.442 1.164 3.821
O 3.600 8.084 6.216
O 1.950 3.718 2.199
O 2.353 6.178 0.597
O 3.634 6.016 2.973
O 4.675 3.172 7.049
O 4.814 5.751 5.409
O 6.243 5.488 7.811
O 4.566 1.189 3.766
O 4.890 3.656 2.186
O 6.232 3.483 4.619
O 5.331 6.314 0.522
O 7.881 5.870 5.334
O 6.213 1.400 1.357
```

---

# 3
Diffraction record for Al9Si2BO19. The powder X-ray diffraction pattern is simulated, not measured: it uses a crystal structure in the Materials Project, relaxed with PBE and Cu Kα X-rays.
Neutral-atom scattering factors, no anomalous dispersion.

Main lines, low angle first (2θ from 10° to 90°):
d = 5.506 Å, I 87
d = 5.283 Å, I 69
d = 3.455 Å, I 96
d = 3.366 Å, I 56
d = 3.343 Å, I 100
d = 2.752 Å, I 76
d = 2.564 Å, I 51
d = 2.226 Å, I 57
d = 2.196 Å, I 63
d = 1.505 Å, I 53

Crystal structure
```
31
Lattice="7.586 -2.897 0.000 7.586 2.897 0.000 -0.317 0.000 7.670" Properties=species:S:1:pos:R:3 pbc="T T T"
Al 0.000 0.000 0.000
Al 0.462 0.000 4.939
Al 6.250 1.488 2.553
Al 10.042 1.429 6.494
Al 7.608 0.000 0.032
Al 6.250 -1.488 2.553
Al 11.098 0.000 1.400
Al 12.652 0.000 5.092
Al 10.042 -1.429 6.494
Si 5.040 0.000 5.199
Si 8.833 0.000 3.838
B 4.109 0.000 1.024
O 3.558 1.214 0.585
O 1.277 0.000 6.818
O 5.138 1.338 4.233
O 7.305 1.471 0.959
O 3.518 0.000 5.836
O 5.185 0.000 1.877
O 8.996 1.333 4.831
O 6.148 0.000 6.367
O 3.558 -1.214 0.585
O 7.284 0.000 3.250
O 5.138 -1.338 4.233
O 9.043 0.000 7.291
O 9.933 0.000 2.684
O 7.305 -1.471 0.959
O 11.169 0.000 6.037
O 8.996 -1.333 4.831
O 12.755 0.000 1.992
O 14.140 0.000 6.040
O 14.773 0.000 3.383
```